For Ba6La2Ga4O15, a crystal structure in Alexandria, relaxed with GGA-PBE gives the calculated powder diffraction line list in this record (Cu Ka).

The 10 most intense peaks (5 to 70 degrees two-theta), by intensity:
2theta, I/Imax
29.93, 100
29.69, 50
30.25, 49
36.08, 31
30.06, 25
28.97, 21
43.08, 21
52.84, 19
47.58, 15
28.87, 15

abc: 11.9436 11.9436 7.2131
angles: 90.24 90.24 119.49
Fractional coordinates of all 54 atoms:
Ba: 0.0014 0.9986 0.5000
Ba: 0.1716 0.3448 0.8175
Ba: 0.1808 0.8291 0.8300
Ba: 0.3335 0.6658 0.5073
Ba: 0.3448 0.1716 0.3175
Ba: 0.4815 0.9549 0.1571
Ba: 0.6495 0.8215 0.8274
Ba: 0.6658 0.3335 0.0073
Ba: 0.8215 0.6495 0.3274
Ba: 0.8291 0.1808 0.3300
Ba: 0.9549 0.4815 0.6571
Ba: 0.9986 0.0014 0.0000
La: 0.0405 0.5229 0.1545
La: 0.4788 0.5188 0.1504
La: 0.5188 0.4788 0.6504
La: 0.5229 0.0405 0.6545
Ga: 0.1813 0.3582 0.3171
Ga: 0.1819 0.8254 0.3258
Ga: 0.3344 0.6627 0.9629
Ga: 0.3582 0.1813 0.8171
Ga: 0.6439 0.8177 0.3340
Ga: 0.6627 0.3344 0.4629
Ga: 0.8177 0.6439 0.8340
Ga: 0.8254 0.1819 0.8258
O: 0.0571 0.6801 0.4408
O: 0.0713 0.4042 0.4299
O: 0.1039 0.1924 0.2305
O: 0.1257 0.9275 0.2135
O: 0.1737 0.5856 0.8324
O: 0.1924 0.1039 0.7305
O: 0.2427 0.7405 0.1560
O: 0.2541 0.4940 0.1375
O: 0.3234 0.9254 0.4833
O: 0.3292 0.3997 0.4592
O: 0.3997 0.3292 0.9592
O: 0.4042 0.0713 0.9299
O: 0.4140 0.8227 0.8193
O: 0.4184 0.5817 0.8241
O: 0.4940 0.2541 0.6375
O: 0.5054 0.7395 0.1536
O: 0.5817 0.4184 0.3241
O: 0.5856 0.1737 0.3324
O: 0.6005 0.6673 0.4672
O: 0.6103 0.9279 0.4793
O: 0.6673 0.6005 0.9672
O: 0.6801 0.0571 0.9408
O: 0.7395 0.5054 0.6536
O: 0.7405 0.2427 0.6560
O: 0.8071 0.8947 0.2370
O: 0.8227 0.4140 0.3193
O: 0.8947 0.8071 0.7370
O: 0.9254 0.3234 0.9833
O: 0.9275 0.1257 0.7135
O: 0.9279 0.6103 0.9793